(1)
Computed X-ray diffraction stick pattern of Mg8CoHg2 for a wavelength of 1.5418 Å, from the PBE geometry in Alexandria.
Kinematic intensities with the Lorentz-polarization factor, no thermal factor.

Main lines, by intensity (2θ = 5–70°):
2theta	d [Å]	intensity
37.09	2.424	100
22.51	3.951	88
24.28	3.666	56
26.72	3.336	55
14.28	6.201	36
22.40	3.968	36
39.57	2.278	27
29.17	3.061	24
39.39	2.288	20
46.97	1.935	20

Cell and atoms:
a = 4.555 Å, b = 7.937 Å, c = 12.402 Å
α = 90.00°, β = 90.00°, γ = 90.00°
Space group Immm (No. 71)
One atom of each set of equivalent atoms:
Mg1 0.000 0.000 0.133
Mg2 0.000 0.231 0.350
Mg3 0.000 0.301 0.000
Co1 0.000 0.500 0.500
Hg1 0.000 0.500 0.195

=====

(2)
Computed X-ray diffraction stick pattern of CeTlBi for a wavelength of 1.5418 Å, from the PBE geometry in Alexandria.
Kinematic intensities with the Lorentz-polarization factor, no thermal factor.

Main lines, by intensity (2θ = 5–70°):
2theta	d [Å]	intensity
31.68	2.825	100
31.03	2.882	25
55.61	1.653	20
38.07	2.364	16
49.89	1.828	14
51.91	1.761	14
64.81	1.439	13
40.55	2.225	13
66.17	1.412	12
68.24	1.374	11

Cell and atoms:
a = 4.450 Å, b = 17.293 Å, c = 4.728 Å
α = 90.00°, β = 90.00°, γ = 90.00°
Space group Cmcm (No. 63)
One atom of each set of equivalent atoms:
Ce1 0.000 0.091 0.250
Tl1 0.000 0.245 0.750
Bi1 0.000 0.422 0.250